Record 1
Diffraction record for LaTb5Ho6. The X-ray powder pattern is simulated, not measured: it uses a crystal structure in Alexandria, relaxed with PBE and Cu Kα, 1.54184 Å.

The 7 most intense peaks (2θ = 5–70°), in order of rising 2θ:
two_theta	d_spacing	Rel. int.
30.78	2.905	100
35.69	2.515	51
51.37	1.779	36
61.07	1.517	32
61.15	1.516	11
64.09	1.453	9
64.22	1.450	3

Cell and atoms:
Unit cell a=6.165 b=6.165 c=11.781 alpha=94.99 beta=94.99 gamma=119.97
Atoms (fractional coordinates):
La 0.000 0.000 0.000
Tb 0.167 0.833 0.500
Tb 0.333 0.667 0.000
Tb 0.500 0.500 0.500
Tb 0.667 0.333 0.000
Tb 0.833 0.167 0.500
Ho 0.084 0.419 0.252
Ho 0.251 0.251 0.748
Ho 0.419 0.084 0.252
Ho 0.581 0.916 0.748
Ho 0.749 0.749 0.252
Ho 0.916 0.581 0.748

***

Record 2
Diffraction record for LaTb12Ho2. The X-ray powder pattern is simulated, not measured: it uses a crystal structure in Alexandria, relaxed with PBE and Cu Kα, 1.54184 Å.

The 12 most intense peaks (2θ = 5–70°), in order of rising 2θ:
two_theta	d_spacing	Rel. int.
30.18	2.961	100
31.05	2.880	44
31.88	2.807	69
32.17	2.782	39
32.36	2.767	72
33.45	2.679	32
45.93	1.976	29
51.11	1.787	18
55.76	1.649	18
57.11	1.613	15
59.68	1.549	18
61.52	1.507	21

Cell and atoms:
Unit cell a=6.655 b=6.655 c=24.447 alpha=92.23 beta=92.23 gamma=115.03
Atoms (fractional coordinates):
La 0.249 0.249 0.001
La 0.751 0.751 0.999
Tb 0.049 0.552 0.203
Tb 0.084 0.582 0.330
Tb 0.137 0.637 0.555
Tb 0.142 0.142 0.575
Tb 0.215 0.215 0.861
Tb 0.232 0.731 0.924
Tb 0.269 0.768 0.076
Tb 0.285 0.285 0.141
Tb 0.358 0.358 0.426
Tb 0.363 0.863 0.445
Tb 0.418 0.916 0.670
Tb 0.448 0.951 0.797
Tb 0.552 0.049 0.203
Tb 0.582 0.084 0.330
Tb 0.637 0.137 0.555
Tb 0.642 0.642 0.574
Tb 0.715 0.715 0.859
Tb 0.731 0.232 0.924
Tb 0.768 0.269 0.076
Tb 0.785 0.785 0.139
Tb 0.858 0.858 0.425
Tb 0.863 0.363 0.445
Tb 0.916 0.418 0.670
Tb 0.951 0.448 0.797
Ho 0.067 0.067 0.273
Ho 0.431 0.431 0.727
Ho 0.569 0.569 0.273
Ho 0.933 0.933 0.727

***

> What is the formula in the first record?

LaTb5Ho6

***

> What is the formula in the first record?

LaTb5Ho6

***

Please write out number 1 again, unchanged.
Diffraction record for LaTb5Ho6. The X-ray powder pattern is simulated, not measured: it uses a crystal structure in Alexandria, relaxed with PBE and Cu Kα, 1.54184 Å.

The 7 most intense peaks (2θ = 5–70°), in order of rising 2θ:
two_theta	d_spacing	Rel. int.
30.78	2.905	100
35.69	2.515	51
51.37	1.779	36
61.07	1.517	32
61.15	1.516	11
64.09	1.453	9
64.22	1.450	3

Cell and atoms:
Unit cell a=6.165 b=6.165 c=11.781 alpha=94.99 beta=94.99 gamma=119.97
Atoms (fractional coordinates):
La 0.000 0.000 0.000
Tb 0.167 0.833 0.500
Tb 0.333 0.667 0.000
Tb 0.500 0.500 0.500
Tb 0.667 0.333 0.000
Tb 0.833 0.167 0.500
Ho 0.084 0.419 0.252
Ho 0.251 0.251 0.748
Ho 0.419 0.084 0.252
Ho 0.581 0.916 0.748
Ho 0.749 0.749 0.252
Ho 0.916 0.581 0.748